No. 1
Starting from DFT lattice parameters and positions (PBE), the XRD peak list of HoSiPt was calculated for a wavelength of 1.5418 Å.

Structure:
```
HoSiPt
1.0
6.9749 0.0000 0.0000
0.0000 4.3080 0.0000
0.0000 0.0000 7.4184
Ho Si Pt
4 4 4
direct
0.0048 0.2500 0.2021
0.4952 0.7500 0.7021
0.5048 0.2500 0.2979
0.9952 0.7500 0.7979
0.1881 0.2500 0.5899
0.3119 0.7500 0.0899
0.6881 0.2500 0.9101
0.8119 0.7500 0.4101
0.1981 0.7500 0.4176
0.3019 0.2500 0.9176
0.6981 0.7500 0.0824
0.8019 0.2500 0.5824
```

Peak list (10 most intense, 2θ from 10° to 90°, in order of rising 2θ)
- 27.17 deg, I 63
- 34.40 deg, I 31
- 35.27 deg, I 100
- 40.67 deg, I 18
- 41.94 deg, I 28
- 42.14 deg, I 38
- 55.97 deg, I 16
- 59.85 deg, I 12
- 68.25 deg, I 20
- 76.19 deg, I 11

---

No. 2
Starting from DFT lattice parameters and positions (PBE), the XRD peak list of HoSi2Pt2 was calculated for a wavelength of 1.5418 Å.

Structure:
```
HoSi2Pt2
1.0
-2.0944 2.0944 4.9269
2.0944 -2.0944 4.9269
2.0944 2.0944 -4.9269
Ho Si Pt
1 2 2
direct
0.0000 0.0000 0.0000
0.3826 0.3826 0.0000
0.6174 0.6174 0.0000
0.2500 0.7500 0.5000
0.7500 0.2500 0.5000
```

Peak list (10 most intense, 2θ from 10° to 90°, in order of rising 2θ)
- 18.00 deg, I 20
- 23.07 deg, I 14
- 34.71 deg, I 13
- 35.36 deg, I 100
- 36.47 deg, I 18
- 43.20 deg, I 34
- 57.78 deg, I 20
- 62.74 deg, I 11
- 64.92 deg, I 16
- 74.12 deg, I 24

---

No. 3
Starting from DFT lattice parameters and positions (PBE), the XRD peak list of HoSi2Pt2 was calculated for a wavelength of 1.5418 Å.

Structure:
```
HoSi2Pt2
1.0
4.1927 0.0000 0.0000
0.0000 4.1927 0.0000
0.0000 0.0000 9.8658
Ho Si Pt
2 4 4
direct
0.2500 0.2500 0.2466
0.7500 0.7500 0.7534
0.2500 0.2500 0.6344
0.2500 0.7500 0.0000
0.7500 0.2500 0.0000
0.7500 0.7500 0.3656
0.2500 0.2500 0.8758
0.2500 0.7500 0.5000
0.7500 0.2500 0.5000
0.7500 0.7500 0.1242
```

Peak list (10 most intense, 2θ from 10° to 90°, in order of rising 2θ)
- 27.12 deg, I 26
- 27.93 deg, I 30
- 31.51 deg, I 73
- 34.67 deg, I 71
- 35.32 deg, I 100
- 43.15 deg, I 71
- 51.16 deg, I 24
- 56.50 deg, I 35
- 62.67 deg, I 24
- 64.86 deg, I 26

---

No. 4
Starting from DFT lattice parameters and positions (PBE), the XRD peak list of Ho2ZnPt was calculated for a wavelength of 1.5418 Å.

Structure:
```
Ho2ZnPt
1.0
0.0000 3.5077 3.5077
3.5077 0.0000 3.5077
3.5077 3.5077 0.0000
Ho Zn Pt
2 1 1
direct
0.2500 0.2500 0.2500
0.7500 0.7500 0.7500
0.0000 0.0000 0.0000
0.5000 0.5000 0.5000
```

Peak list (10 most intense, 2θ from 10° to 90°, in order of rising 2θ)
- 21.94 deg, I 10
- 36.22 deg, I 100
- 42.75 deg, I 5
- 52.15 deg, I 18
- 57.24 deg, I 2
- 65.14 deg, I 36
- 69.64 deg, I 2
- 76.87 deg, I 11
- 81.10 deg, I 2
- 88.05 deg, I 16

---

No. 5
Starting from DFT lattice parameters and positions (PBE), the XRD peak list of Ho3Pu was calculated for a wavelength of 1.5418 Å.

Structure:
```
Ho3Pu
1.0
4.9566 0.0000 0.0000
0.0000 4.9566 0.0000
0.0000 0.0000 4.9566
Ho Pu
3 1
direct
0.0000 0.0000 0.5000
0.0000 0.5000 0.0000
0.5000 0.0000 0.0000
0.5000 0.5000 0.5000
```

Peak list (10 most intense, 2θ from 10° to 90°, in order of rising 2θ)
- 17.90 deg, I 3
- 25.41 deg, I 2
- 31.26 deg, I 100
- 36.25 deg, I 51
- 52.20 deg, I 36
- 62.11 deg, I 43
- 65.20 deg, I 12
- 76.94 deg, I 6
- 85.37 deg, I 18
- 88.14 deg, I 17

---

No. 6
Starting from DFT lattice parameters and positions (PBE), the XRD peak list of HoPu3 was calculated for a wavelength of 1.5418 Å.

Structure:
```
HoPu3
1.0
6.9063 0.0000 0.0000
-3.4532 5.9811 0.0000
0.0000 0.0000 5.5677
Ho Pu
2 6
direct
0.3333 0.6667 0.2500
0.6667 0.3333 0.7500
0.1638 0.3276 0.7500
0.1638 0.8362 0.7500
0.3276 0.1638 0.2500
0.6724 0.8362 0.7500
0.8362 0.1638 0.2500
0.8362 0.6724 0.2500
```

Peak list (10 most intense, 2θ from 10° to 90°, in order of rising 2θ)
- 29.88 deg, I 23
- 32.15 deg, I 26
- 34.03 deg, I 100
- 44.46 deg, I 16
- 53.04 deg, I 19
- 58.53 deg, I 22
- 63.39 deg, I 23
- 64.53 deg, I 16
- 82.92 deg, I 8
- 88.21 deg, I 15

---

No. 7
Starting from DFT lattice parameters and positions (PBE), the XRD peak list of RbHoS2 was calculated for a wavelength of 1.5418 Å.

Structure:
```
RbHoS2
1.0
2.0318 1.1730 7.6769
-2.0318 1.1730 7.6769
0.0000 -2.3461 7.6769
Rb Ho S
1 1 2
direct
0.0000 0.0000 0.0000
0.5000 0.5000 0.5000
0.2303 0.2303 0.2303
0.7697 0.7697 0.7697
```

Peak list (10 most intense, 2θ from 10° to 90°, in order of rising 2θ)
- 11.53 deg, I 32
- 23.17 deg, I 25
- 26.48 deg, I 47
- 29.75 deg, I 100
- 40.48 deg, I 37
- 44.60 deg, I 34
- 47.16 deg, I 15
- 50.85 deg, I 19
- 54.53 deg, I 17
- 73.01 deg, I 15

---

No. 8
Starting from DFT lattice parameters and positions (PBE), the XRD peak list of HoRh was calculated for a wavelength of 1.5418 Å.

Structure:
```
HoRh
1.0
3.4157 0.0000 0.0000
0.0000 3.4157 0.0000
0.0000 0.0000 3.4157
Ho Rh
1 1
direct
0.0000 0.0000 0.0000
0.5000 0.5000 0.5000
```

Peak list (8 most intense, 2θ from 10° to 90°, in order of rising 2θ)
- 26.09 deg, I 5
- 37.23 deg, I 100
- 46.02 deg, I 2
- 53.67 deg, I 17
- 60.62 deg, I 2
- 67.13 deg, I 35
- 79.34 deg, I 11
- 85.24 deg, I 1

---

No. 9
Starting from DFT lattice parameters and positions (PBE), the XRD peak list of Ho4Rh was calculated for a wavelength of 1.5418 Å.

Structure:
```
Ho4Rh
1.0
0.0000 5.3576 5.3576
5.3576 0.0000 5.3576
5.3576 5.3576 0.0000
Ho Rh
8 2
direct
0.2082 0.7639 0.7639
0.2361 0.2361 0.2361
0.2361 0.2361 0.7918
0.2361 0.7918 0.2361
0.7639 0.2082 0.7639
0.7639 0.7639 0.2082
0.7639 0.7639 0.7639
0.7918 0.2361 0.2361
0.3750 0.3750 0.3750
0.6250 0.6250 0.6250
```

Peak list (10 most intense, 2θ from 10° to 90°, in order of rising 2θ)
- 23.48 deg, I 11
- 28.86 deg, I 100
- 33.45 deg, I 34
- 36.55 deg, I 18
- 43.91 deg, I 20
- 48.03 deg, I 45
- 57.01 deg, I 35
- 72.16 deg, I 9
- 77.69 deg, I 11
- 89.65 deg, I 10

---

No. 10
Starting from DFT lattice parameters and positions (PBE), the XRD peak list of HoSbRh2 was calculated for a wavelength of 1.5418 Å.

Structure:
```
HoSbRh2
1.0
0.0000 3.3289 3.3289
3.3289 0.0000 3.3289
3.3289 3.3289 0.0000
Ho Sb Rh
1 1 2
direct
0.0000 0.0000 0.0000
0.5000 0.5000 0.5000
0.2500 0.2500 0.2500
0.7500 0.7500 0.7500
```

Peak list (10 most intense, 2θ from 10° to 90°, in order of rising 2θ)
- 23.14 deg, I 2
- 26.78 deg, I 3
- 38.24 deg, I 100
- 45.17 deg, I 1
- 47.30 deg, I 1
- 55.18 deg, I 17
- 62.37 deg, I 1
- 69.12 deg, I 34
- 81.84 deg, I 11
- 88.01 deg, I 1

---

No. 11
Starting from DFT lattice parameters and positions (PBE), the XRD peak list of Ho2Si3Rh was calculated for a wavelength of 1.5418 Å.

Structure:
```
Ho2Si3Rh
1.0
8.1606 0.0000 0.0000
-4.0803 7.0673 0.0000
0.0000 0.0000 7.8590
Ho Si Rh
8 12 4
direct
0.0000 0.0000 0.2500
0.0000 0.0000 0.7500
0.0179 0.5090 0.2500
0.4910 0.5090 0.2500
0.4910 0.9821 0.2500
0.5090 0.0179 0.7500
0.5090 0.4910 0.7500
0.9821 0.4910 0.7500
0.1668 0.3337 0.5007
0.1668 0.3337 0.9993
0.1668 0.8332 0.5007
0.1668 0.8332 0.9993
0.3337 0.1668 0.0007
0.3337 0.1668 0.4993
0.6663 0.8332 0.5007
0.6663 0.8332 0.9993
0.8332 0.1668 0.0007
0.8332 0.1668 0.4993
0.8332 0.6663 0.0007
0.8332 0.6663 0.4993
0.3333 0.6667 0.5333
0.3333 0.6667 0.9667
0.6667 0.3333 0.0333
0.6667 0.3333 0.4667
```

Peak list (10 most intense, 2θ from 10° to 90°, in order of rising 2θ)
- 21.78 deg, I 6
- 25.20 deg, I 32
- 34.12 deg, I 100
- 44.40 deg, I 36
- 46.21 deg, I 10
- 53.35 deg, I 10
- 57.16 deg, I 22
- 66.02 deg, I 19
- 75.13 deg, I 19
- 77.76 deg, I 8

---

No. 12
Starting from DFT lattice parameters and positions (PBE), the XRD peak list of Ho3Si2Sn3Rh9 was calculated for a wavelength of 1.5418 Å.

Structure:
```
Ho3Si2Sn3Rh9
1.0
9.8189 0.0000 0.0000
-4.9094 8.5034 0.0000
0.0000 0.0000 3.5037
Ho Si Sn Rh
3 2 3 9
direct
0.0000 0.4001 0.0000
0.4001 0.0000 0.0000
0.5999 0.5999 0.0000
0.3333 0.6667 0.0000
0.6667 0.3333 0.0000
0.0000 0.7606 0.0000
0.2394 0.2394 0.0000
0.7606 0.0000 0.0000
0.0000 0.1655 0.5000
0.1655 0.0000 0.5000
0.1841 0.7014 0.5000
0.2986 0.4827 0.5000
0.4827 0.2986 0.5000
0.5173 0.8159 0.5000
0.7014 0.1841 0.5000
0.8159 0.5173 0.5000
0.8345 0.8345 0.5000
```

Peak list (10 most intense, 2θ from 10° to 90°, in order of rising 2θ)
- 31.37 deg, I 23
- 36.61 deg, I 19
- 37.99 deg, I 100
- 38.16 deg, I 43
- 40.95 deg, I 30
- 52.22 deg, I 16
- 63.71 deg, I 12
- 66.49 deg, I 16
- 72.85 deg, I 11
- 89.23 deg, I 9